Calculated PXRD pattern of La3Nd3Sc for Cu Kα X-rays, from the GGA-PBE geometry in Alexandria.
Lines closer than 0.1° are merged.

Top 6 peaks for 10 to 80 degrees two-theta, most intense first:
2θ 32.8, intensity 100, (2 2 2); 2θ 30.1, intensity 30, (0 4 0); 2θ 26.7, intensity 17, (1 1 2); 2θ 31.5, intensity 16, (4 0 0); 2θ 55.2, intensity 16, (2 6 2); 2θ 24.7, intensity 16, (3 1 0)

Cell and atoms:
abc: 11.3736 11.8673 7.3095
angles: 90.00 90.00 90.00
Space group Cmmm (No. 65)
One atom of each set of equivalent atoms:
La 0.0000 0.0000 0.2430 (multiplicity 4)
La 0.2500 0.2500 0.2419 (multiplicity 8)
Nd 0.0000 0.2801 0.5000 (multiplicity 4)
Nd 0.1814 0.5000 0.0000 (multiplicity 4)
Nd 0.2136 0.5000 0.5000 (multiplicity 4)
Sc 0.0000 0.2620 0.0000 (multiplicity 4)